Starting from a crystal structure in Alexandria, relaxed with GGA-PBE, the powder diffractogram of Bi3Se4 was simulated for CuKα.
Kinematic intensities with the Lorentz-polarization factor, no thermal factor.

Structure:
```
data_Bi3Se4
_chemical_formula_sum 'Bi6 Se8'
_symmetry_space_group_name_H-M 'C m m m'
_symmetry_Int_Tables_number 65
_symmetry_space_group_name_Hall '-C 2 2'
_cell_length_a 8.9698
_cell_length_b 11.8065
_cell_length_c 4.1301
_cell_angle_alpha 90.00
_cell_angle_beta 90.00
_cell_angle_gamma 90.00
loop_
_atom_site_label
_atom_site_type_symbol
_atom_site_fract_x
_atom_site_fract_y
_atom_site_fract_z
_atom_site_occupancy
Bi1 Bi 0.0000 0.0000 0.0000 1
Bi2 Bi 0.2500 0.2500 0.5000 1
Se1 Se 0.0000 0.2529 0.0000 1
Se2 Se 0.2372 0.0000 0.5000 1
```

Most intense lines, 15 to 90 degrees two-theta, sorted by position:
hkl 2 2 0, 24.92 deg, I = 27; hkl 2 0 1, 29.40 deg, I = 100; hkl 0 4 0, 30.28 deg, I = 47; hkl 4 0 0, 40.22 deg, I = 21; hkl 2 4 1, 42.71 deg, I = 73; hkl 0 0 2, 43.85 deg, I = 22; hkl 4 4 0, 51.14 deg, I = 26; hkl 0 4 2, 54.21 deg, I = 21; hkl 4 0 2, 61.00 deg, I = 13; hkl 4 4 2, 69.60 deg, I = 18; hkl 2 8 1, 71.01 deg, I = 17; hkl 6 4 1, 74.81 deg, I = 14



Starting from a crystal structure in Alexandria, relaxed with GGA-PBE, the powder diffractogram of SiBi3Se6 was simulated for CuKα.
Kinematic intensities with the Lorentz-polarization factor, no thermal factor.

Structure:
```
data_SiBi3Se6
_chemical_formula_sum 'Si4 Bi12 Se24'
_symmetry_space_group_name_H-M 'C m c 21'
_symmetry_Int_Tables_number 36
_symmetry_space_group_name_Hall 'C 2c -2'
_cell_length_a 11.6225
_cell_length_b 14.4781
_cell_length_c 6.9685
_cell_angle_alpha 90.00
_cell_angle_beta 90.00
_cell_angle_gamma 90.00
loop_
_atom_site_label
_atom_site_type_symbol
_atom_site_fract_x
_atom_site_fract_y
_atom_site_fract_z
_atom_site_occupancy
Si1 Si 0.0000 0.1962 0.0000 1
Bi1 Bi 0.0000 0.4016 0.6636 1
Bi2 Bi 0.1884 0.0947 0.5378 1
Se1 Se 0.0000 0.0461 0.8802 1
Se2 Se 0.0000 0.2136 0.3245 1
Se3 Se 0.1600 0.2616 0.8493 1
Se4 Se 0.1606 0.4690 0.3394 1
```

Most intense lines, 15 to 90 degrees two-theta, sorted by position:
hkl 1 1 1, 16.04 deg, I = 26; hkl 0 2 1, 17.67 deg, I = 21; hkl 2 2 1, 23.42 deg, I = 100; hkl 1 3 1, 23.71 deg, I = 58; hkl 1 1 2, 27.42 deg, I = 21; hkl 3 3 1, 32.30 deg, I = 73; hkl 3 1 2, 35.19 deg, I = 59; hkl 0 4 2, 35.76 deg, I = 44; hkl 3 5 0, 38.83 deg, I = 45; hkl 5 3 1, 45.21 deg, I = 25; hkl 3 1 3, 45.99 deg, I = 21; hkl 0 4 3, 46.45 deg, I = 27



Please write out number 1 again, unchanged.
Starting from a crystal structure in Alexandria, relaxed with GGA-PBE, the powder diffractogram of Bi3Se4 was simulated for CuKα.
Kinematic intensities with the Lorentz-polarization factor, no thermal factor.

Structure:
```
data_Bi3Se4
_chemical_formula_sum 'Bi6 Se8'
_symmetry_space_group_name_H-M 'C m m m'
_symmetry_Int_Tables_number 65
_symmetry_space_group_name_Hall '-C 2 2'
_cell_length_a 8.9698
_cell_length_b 11.8065
_cell_length_c 4.1301
_cell_angle_alpha 90.00
_cell_angle_beta 90.00
_cell_angle_gamma 90.00
loop_
_atom_site_label
_atom_site_type_symbol
_atom_site_fract_x
_atom_site_fract_y
_atom_site_fract_z
_atom_site_occupancy
Bi1 Bi 0.0000 0.0000 0.0000 1
Bi2 Bi 0.2500 0.2500 0.5000 1
Se1 Se 0.0000 0.2529 0.0000 1
Se2 Se 0.2372 0.0000 0.5000 1
```

Most intense lines, 15 to 90 degrees two-theta, sorted by position:
hkl 2 2 0, 24.92 deg, I = 27; hkl 2 0 1, 29.40 deg, I = 100; hkl 0 4 0, 30.28 deg, I = 47; hkl 4 0 0, 40.22 deg, I = 21; hkl 2 4 1, 42.71 deg, I = 73; hkl 0 0 2, 43.85 deg, I = 22; hkl 4 4 0, 51.14 deg, I = 26; hkl 0 4 2, 54.21 deg, I = 21; hkl 4 0 2, 61.00 deg, I = 13; hkl 4 4 2, 69.60 deg, I = 18; hkl 2 8 1, 71.01 deg, I = 17; hkl 6 4 1, 74.81 deg, I = 14